# 1
The following is a simulated XRD peak list of Cs3NaCd2Sn2. It was derived from a cell relaxed with PBE, using a wavelength of 1.5418 Å.

Principal peaks in the range 10 to 90 degrees two-theta, most intense first:
- 2θ = 28.23°, 3.161 Å, I = 100.0, hkl 1 1 -2
- 2θ = 28.75°, 3.106 Å, I = 66.2, hkl 2 1 -1
- 2θ = 23.98°, 3.711 Å, I = 59.5, hkl 1 1 1
- 2θ = 33.14°, 2.703 Å, I = 53.6, hkl 1 2 1
- 2θ = 25.55°, 3.487 Å, I = 51.5, hkl 2 0 -1
- 2θ = 47.32°, 1.921 Å, I = 42.8, hkl 3 0 -3
- 2θ = 47.63°, 1.909 Å, I = 41.0, hkl 3 2 0
- 2θ = 29.16°, 3.063 Å, I = 35.3, hkl 1 2 0
- 2θ = 15.36°, 5.767 Å, I = 34.2, hkl 1 0 -1
- 2θ = 31.07°, 2.878 Å, I = 34.1, hkl 1 0 2
- 2θ = 36.44°, 2.466 Å, I = 32.2, hkl 0 2 2
- 2θ = 28.97°, 3.082 Å, I = 31.9, hkl 0 2 1

Atomic structure:
```
data_Cs3NaCd2Sn2
_chemical_formula_sum 'Cs3 Na1 Cd2 Sn2'
_symmetry_space_group_name_H-M 'P 1 m 1'
_symmetry_Int_Tables_number 6
_cell_length_a 7.1600
_cell_length_b 6.8332
_cell_length_c 7.3777
_cell_angle_alpha 90.00
_cell_angle_beta 105.08
_cell_angle_gamma 90.00
loop_
_symmetry_equiv_pos_as_xyz
'x,y,z'
'x,-y,z'
loop_
_atom_site_label
_atom_site_type_symbol
_atom_site_fract_x
_atom_site_fract_y
_atom_site_fract_z
_atom_site_occupancy
Cs1 Cs 0.0000 0.0000 0.0000 1
Cs2 Cs 0.0689 0.5000 0.3765 1
Cs3 Cs 0.7034 0.5000 0.6979 1
Na1 Na 0.3713 0.0000 0.6687 1
Cd1 Cd 0.5272 0.2514 0.1712 1
Sn1 Sn 0.2717 0.5000 0.9209 1
Sn2 Sn 0.7384 0.0000 0.4520 1
```

# 2
The following is a simulated XRD peak list of Pr2Cd4PdAu. It was derived from a cell relaxed with PBE, using a wavelength of 1.5418 Å.

Principal peaks in the range 10 to 90 degrees two-theta, most intense first:
- 2θ = 30.71°, 2.912 Å, I = 100.0, hkl 2 1 1
- 2θ = 34.88°, 2.572 Å, I = 91.5, hkl 1 1 3
- 2θ = 36.64°, 2.453 Å, I = 52.8, hkl 1 0 4
- 2θ = 40.92°, 2.205 Å, I = 41.4, hkl 0 2 0
- 2θ = 39.20°, 2.298 Å, I = 38.5, hkl 3 1 1
- 2θ = 56.08°, 1.640 Å, I = 30.3, hkl 1 2 4
- 2θ = 39.69°, 2.271 Å, I = 23.8, hkl 2 1 3
- 2θ = 41.27°, 2.188 Å, I = 23.2, hkl 2 0 4
- 2θ = 65.58°, 1.424 Å, I = 21.3, hkl 5 1 3
- 2θ = 67.29°, 1.391 Å, I = 18.0, hkl 0 1 7
- 2θ = 33.14°, 2.703 Å, I = 17.6, hkl 0 1 3
- 2θ = 43.22°, 2.093 Å, I = 16.8, hkl 4 0 0

Atomic structure:
```
data_Pr2Cd4PdAu
_chemical_formula_sum 'Pr4 Cd8 Pd2 Au2'
_symmetry_space_group_name_H-M 'A m m 2'
_symmetry_Int_Tables_number 38
_cell_length_a 8.3723
_cell_length_b 4.4105
_cell_length_c 10.2644
_cell_angle_alpha 90.00
_cell_angle_beta 90.00
_cell_angle_gamma 90.00
loop_
_symmetry_equiv_pos_as_xyz
'x,y,z'
'-x,-y,z'
'-x,y,z'
'x,-y,z'
'x,y+1/2,z+1/2'
'-x,-y+1/2,z+1/2'
'-x,y+1/2,z+1/2'
'x,-y+1/2,z+1/2'
loop_
_atom_site_label
_atom_site_type_symbol
_atom_site_fract_x
_atom_site_fract_y
_atom_site_fract_z
_atom_site_occupancy
Pr1 Pr 0.0000 0.0000 0.0000 1
Pr2 Pr 0.5000 0.0000 0.1336 1
Cd1 Cd 0.2043 0.0000 0.7073 1
Cd2 Cd 0.3060 0.0000 0.4274 1
Pd1 Pd 0.5000 0.0000 0.8436 1
Au1 Au 0.0000 0.0000 0.2933 1
```

# 3
The following is a simulated XRD peak list of GdF3. It was derived from a cell relaxed with PBE, using a wavelength of 1.5418 Å.

Principal peaks in the range 10 to 90 degrees two-theta, most intense first:
- 2θ = 30.73°, 2.909 Å, I = 100.0, hkl 1 0 1
- 2θ = 17.83°, 4.973 Å, I = 95.2, hkl 1 0 0
- 2θ = 44.32°, 2.044 Å, I = 66.0, hkl 2 0 1
- 2θ = 31.15°, 2.871 Å, I = 61.5, hkl 1 1 0
- 2θ = 55.16°, 1.665 Å, I = 58.1, hkl 2 1 1
- 2θ = 55.42°, 1.658 Å, I = 21.4, hkl 3 0 0
- 2θ = 60.90°, 1.521 Å, I = 19.5, hkl 1 1 2
- 2θ = 73.57°, 1.287 Å, I = 16.9, hkl 1 3 1
- 2θ = 36.12°, 2.487 Å, I = 14.9, hkl 2 0 0
- 2θ = 78.58°, 1.217 Å, I = 14.9, hkl 3 0 2
- 2θ = 50.91°, 1.794 Å, I = 12.9, hkl 0 0 2
- 2θ = 48.42°, 1.880 Å, I = 10.9, hkl 2 1 0

Atomic structure:
```
data_GdF3
_chemical_formula_sum 'Gd2 F6'
_symmetry_space_group_name_H-M 'P 63/m'
_symmetry_Int_Tables_number 176
_symmetry_space_group_name_Hall '-P 6c'
_cell_length_a 5.7427
_cell_length_b 5.7427
_cell_length_c 3.5874
_cell_angle_alpha 90.00
_cell_angle_beta 90.00
_cell_angle_gamma 120.00
loop_
_atom_site_label
_atom_site_type_symbol
_atom_site_fract_x
_atom_site_fract_y
_atom_site_fract_z
_atom_site_occupancy
Gd1 Gd 0.3333 0.6667 0.2500 1
F1 F 0.0873 0.3924 0.7500 1
```

# 4
The following is a simulated XRD peak list of Na2MgCoAs2. It was derived from a cell relaxed with PBE, using a wavelength of 1.5418 Å.

Principal peaks in the range 10 to 90 degrees two-theta, most intense first:
- 2θ = 40.19°, 2.244 Å, I = 100.0, hkl 1 1 2
- 2θ = 25.08°, 3.551 Å, I = 85.6, hkl 1 0 1
- 2θ = 12.51°, 7.074 Å, I = 66.7, hkl 0 0 1
- 2θ = 33.41°, 2.682 Å, I = 61.7, hkl 1 0 2
- 2θ = 44.11°, 2.053 Å, I = 55.8, hkl 2 0 0
- 2θ = 44.30°, 2.045 Å, I = 28.4, hkl 1 0 3
- 2θ = 51.42°, 1.777 Å, I = 27.4, hkl 2 1 1
- 2θ = 78.47°, 1.219 Å, I = 26.0, hkl 3 1 2
- 2θ = 30.80°, 2.903 Å, I = 24.2, hkl 1 1 0
- 2θ = 64.30°, 1.449 Å, I = 18.0, hkl 2 1 3
- 2θ = 64.16°, 1.452 Å, I = 17.3, hkl 2 2 0
- 2θ = 49.82°, 1.830 Å, I = 17.1, hkl 1 1 3

Atomic structure:
```
data_Na2MgCoAs2
_chemical_formula_sum 'Na2 Mg1 Co1 As2'
_symmetry_space_group_name_H-M 'P -4 m 2'
_symmetry_Int_Tables_number 115
_cell_length_a 4.1059
_cell_length_b 4.1059
_cell_length_c 7.0737
_cell_angle_alpha 90.00
_cell_angle_beta 90.00
_cell_angle_gamma 90.00
loop_
_symmetry_equiv_pos_as_xyz
'x,y,z'
'y,-x,-z'
'-x,-y,z'
'-y,x,-z'
'-x,y,z'
'-y,-x,-z'
'x,-y,z'
'y,x,-z'
loop_
_atom_site_label
_atom_site_type_symbol
_atom_site_fract_x
_atom_site_fract_y
_atom_site_fract_z
_atom_site_occupancy
Na1 Na 0.0000 0.5000 0.1447 1
Mg1 Mg 0.0000 0.0000 0.5000 1
Co1 Co 0.5000 0.5000 0.5000 1
As1 As 0.0000 0.5000 0.7156 1
```

# 5
The following is a simulated XRD peak list of RbHg3PbO4. It was derived from a cell relaxed with PBE, using a wavelength of 1.5418 Å.

Principal peaks in the range 10 to 90 degrees two-theta, most intense first:
- 2θ = 29.57°, 3.021 Å, I = 100.0, hkl 2 0 0
- 2θ = 42.31°, 2.136 Å, I = 98.0, hkl 2 2 0
- 2θ = 14.66°, 6.042 Å, I = 82.6, hkl 1 0 0
- 2θ = 25.54°, 3.488 Å, I = 65.7, hkl 1 1 1
- 2θ = 69.59°, 1.351 Å, I = 39.8, hkl 4 2 0
- 2θ = 33.16°, 2.702 Å, I = 39.5, hkl 2 1 0
- 2θ = 77.38°, 1.233 Å, I = 32.5, hkl 4 2 2
- 2θ = 50.07°, 1.822 Å, I = 32.4, hkl 3 1 1
- 2θ = 52.46°, 1.744 Å, I = 29.3, hkl 2 2 2
- 2θ = 45.01°, 2.014 Å, I = 24.4, hkl 2 2 1
- 2θ = 61.38°, 1.510 Å, I = 15.8, hkl 4 0 0
- 2θ = 54.78°, 1.676 Å, I = 13.4, hkl 3 2 0

Atomic structure:
```
data_RbHg3PbO4
_chemical_formula_sum 'Rb1 Hg3 Pb1 O4'
_symmetry_space_group_name_H-M 'P -4 3 m'
_symmetry_Int_Tables_number 215
_symmetry_space_group_name_Hall 'P -4 2 3'
_cell_length_a 6.0418
_cell_length_b 6.0418
_cell_length_c 6.0418
_cell_angle_alpha 90.00
_cell_angle_beta 90.00
_cell_angle_gamma 90.00
loop_
_atom_site_label
_atom_site_type_symbol
_atom_site_fract_x
_atom_site_fract_y
_atom_site_fract_z
_atom_site_occupancy
Rb1 Rb 0.0000 0.0000 0.0000 1
Hg1 Hg 0.0000 0.5000 0.5000 1
Pb1 Pb 0.5000 0.5000 0.5000 1
O1 O 0.2928 0.2928 0.2928 1
```

# 6
The following is a simulated XRD peak list of ErPd2Au5. It was derived from a cell relaxed with PBE, using a wavelength of 1.5418 Å.

Principal peaks in the range 10 to 90 degrees two-theta, most intense first:
- 2θ = 37.36°, 2.407 Å, I = 100.0, hkl 2 0 1
- 2θ = 43.49°, 2.081 Å, I = 32.7, hkl 2 4 0
- 2θ = 75.76°, 1.256 Å, I = 25.9, hkl 4 4 1
- 2θ = 63.00°, 1.475 Å, I = 21.9, hkl 2 4 2
- 2θ = 43.24°, 2.092 Å, I = 16.7, hkl 0 0 2
- 2θ = 75.41°, 1.260 Å, I = 13.2, hkl 2 0 3
- 2θ = 79.66°, 1.204 Å, I = 11.4, hkl 4 0 2
- 2θ = 63.19°, 1.472 Å, I = 10.8, hkl 4 0 0
- 2θ = 30.31°, 2.949 Å, I = 3.9, hkl 1 2 1
- 2θ = 21.35°, 4.162 Å, I = 3.2, hkl 1 2 0
- 2θ = 48.91°, 1.862 Å, I = 1.4, hkl 3 2 0
- 2θ = 53.91°, 1.701 Å, I = 1.3, hkl 3 2 1

Atomic structure:
```
data_ErPd2Au5
_chemical_formula_sum 'Er2 Pd4 Au10'
_symmetry_space_group_name_H-M 'P b a m'
_symmetry_Int_Tables_number 55
_cell_length_a 5.8857
_cell_length_b 11.7733
_cell_length_c 4.1845
_cell_angle_alpha 90.00
_cell_angle_beta 90.00
_cell_angle_gamma 90.00
loop_
_symmetry_equiv_pos_as_xyz
'x,y,z'
'-x,-y,-z'
'-x,-y,z'
'x,y,-z'
'x+1/2,-y+1/2,-z'
'-x+1/2,y+1/2,z'
'-x+1/2,y+1/2,-z'
'x+1/2,-y+1/2,z'
loop_
_atom_site_label
_atom_site_type_symbol
_atom_site_fract_x
_atom_site_fract_y
_atom_site_fract_z
_atom_site_occupancy
Er1 Er 0.0000 0.0000 0.0000 1
Pd1 Pd 0.2483 0.3767 0.5000 1
Au1 Au 0.0000 0.5000 0.0000 1
Au2 Au 0.0006 0.7517 0.0000 1
Au3 Au 0.2456 0.6274 0.5000 1
```

# 7
The following is a simulated XRD peak list of Pm2Pt7. It was derived from a cell relaxed with PBE, using a wavelength of 1.5418 Å.

Principal peaks in the range 10 to 90 degrees two-theta, most intense first:
- 2θ = 38.88°, 2.316 Å, I = 100.0, hkl 1 1 9
- 2θ = 42.48°, 2.128 Å, I = 38.5, hkl 2 0 8
- 2θ = 40.71°, 2.216 Å, I = 29.1, hkl 0 0 18
- 2θ = 69.16°, 1.358 Å, I = 28.9, hkl 2 2 0
- 2θ = 62.84°, 1.479 Å, I = 25.8, hkl 0 3 9
- 2θ = 38.32°, 2.349 Å, I = 25.5, hkl 0 2 1
- 2θ = 18.99°, 4.673 Å, I = 25.2, hkl 1 0 1
- 2θ = 83.46°, 1.158 Å, I = 22.8, hkl 2 2 18
- 2θ = 32.97°, 2.717 Å, I = 19.5, hkl 1 1 0
- 2θ = 44.71°, 2.027 Å, I = 17.6, hkl 0 2 10
- 2θ = 43.06°, 2.101 Å, I = 17.2, hkl 0 1 17
- 2θ = 41.52°, 2.175 Å, I = 11.5, hkl 0 2 7

Atomic structure:
```
data_Pm2Pt7
_chemical_formula_sum 'Pm12 Pt42'
_symmetry_space_group_name_H-M 'R -3 m'
_symmetry_Int_Tables_number 166
_symmetry_space_group_name_Hall '-R 3 2"'
_cell_length_a 5.4339
_cell_length_b 5.4339
_cell_length_c 39.8946
_cell_angle_alpha 90.00
_cell_angle_beta 90.00
_cell_angle_gamma 120.00
loop_
_atom_site_label
_atom_site_type_symbol
_atom_site_fract_x
_atom_site_fract_y
_atom_site_fract_z
_atom_site_occupancy
Pm1 Pm 0.0000 0.0000 0.0493 1
Pm2 Pm 0.0000 0.0000 0.1473 1
Pt1 Pt 0.0000 0.0000 0.2776 1
Pt2 Pt 0.0000 0.0000 0.3888 1
Pt3 Pt 0.0000 0.0000 0.5000 1
Pt4 Pt 0.0000 0.5000 0.0000 1
Pt5 Pt 0.0038 0.5019 0.8884 1
```

# 8
The following is a simulated XRD peak list of YScCd2Ag4. It was derived from a cell relaxed with PBE, using a wavelength of 1.5418 Å.

Principal peaks in the range 10 to 90 degrees two-theta, most intense first:
- 2θ = 37.27°, 2.412 Å, I = 100.0, hkl 1 2 1
- 2θ = 36.30°, 2.475 Å, I = 30.9, hkl 2 0 0
- 2θ = 35.81°, 2.508 Å, I = 19.5, hkl 0 0 2
- 2θ = 40.32°, 2.237 Å, I = 17.4, hkl 1 0 2
- 2θ = 65.94°, 1.417 Å, I = 17.3, hkl 3 2 1
- 2θ = 51.91°, 1.761 Å, I = 12.9, hkl 2 0 2
- 2θ = 74.21°, 1.278 Å, I = 9.5, hkl 2 2 3
- 2θ = 32.41°, 2.763 Å, I = 9.1, hkl 0 2 1
- 2θ = 55.52°, 1.655 Å, I = 8.5, hkl 0 4 0
- 2θ = 68.16°, 1.376 Å, I = 8.3, hkl 2 4 0
- 2θ = 62.21°, 1.492 Å, I = 8.0, hkl 0 2 3
- 2θ = 79.46°, 1.206 Å, I = 6.5, hkl 2 4 2

Atomic structure:
```
data_YScCd2Ag4
_chemical_formula_sum 'Y1 Sc1 Cd2 Ag4'
_symmetry_space_group_name_H-M 'P m m 2'
_symmetry_Int_Tables_number 25
_cell_length_a 4.9499
_cell_length_b 6.6202
_cell_length_c 5.0152
_cell_angle_alpha 90.00
_cell_angle_beta 90.00
_cell_angle_gamma 90.00
loop_
_symmetry_equiv_pos_as_xyz
'x,y,z'
'-x,-y,z'
'-x,y,z'
'x,-y,z'
loop_
_atom_site_label
_atom_site_type_symbol
_atom_site_fract_x
_atom_site_fract_y
_atom_site_fract_z
_atom_site_occupancy
Y1 Y 0.0000 0.0000 0.0000 1
Sc1 Sc 0.5000 0.5000 0.3863 1
Cd1 Cd 0.0000 0.5000 0.9990 1
Cd2 Cd 0.5000 0.0000 0.4166 1
Ag1 Ag 0.0000 0.2665 0.5040 1
Ag2 Ag 0.5000 0.2635 0.8865 1
```